Diffraction record for TeMoWSeS2. The powder X-ray diffraction pattern is computed, not measured: it uses a DFT-relaxed cell (PBE, the Materials Project) and Cu Kα X-rays.

Crystal structure
a b c (Å): 3.3110 3.3110 37.7402
angles (deg): 90.00 90.00 120.00
Fractional coordinates of all 12 atoms:
Te 0.0000 0.0000 0.0000
Te 0.0000 0.0000 0.1018
Mo 0.0000 0.0000 0.8631
Mo 0.6667 0.3333 0.6753
W 0.0000 0.0000 0.2390
W 0.6667 0.3333 0.0509
Se 0.6667 0.3333 0.1943
Se 0.6667 0.3333 0.2837
S 0.0000 0.0000 0.6348
S 0.0000 0.0000 0.7158
S 0.6667 0.3333 0.8227
S 0.6667 0.3333 0.9036

The 10 most intense peaks (2θ from 15° to 90°), low angle first:
Position (°2θ)	I_rel
31.22	53
33.43	17
35.46	22
36.68	100
38.02	25
44.41	53
46.22	18
55.52	39
68.39	16
78.56	15

Diffraction record for LiZn2Pt. The powder X-ray diffraction pattern is computed, not measured: it uses a DFT-relaxed cell (PBE, the Materials Project) and Cu Kα X-rays.

Crystal structure
a b c (Å): 4.3241 4.3241 4.3241
angles (deg): 60.00 60.00 60.00
Fractional coordinates of all 4 atoms:
Li 0.0000 0.0000 0.0000
Zn 0.2500 0.2500 0.2500
Zn 0.7500 0.7500 0.7500
Pt 0.5000 0.5000 0.5000

The 10 most intense peaks (2θ from 15° to 90°), low angle first:
Position (°2θ)	I_rel
25.22	75
29.21	3
41.78	100
49.43	38
51.79	1
60.57	16
66.67	15
68.64	2
76.28	33
81.85	12

Diffraction record for KSbO3. The powder X-ray diffraction pattern is computed, not measured: it uses a DFT-relaxed cell (PBE, the Materials Project) and Cu Kα X-rays.

Crystal structure
a b c (Å): 4.9904 6.2338 6.8259
angles (deg): 72.29 69.06 67.33
Fractional coordinates of all 10 atoms:
K 0.0959 0.1861 0.0908
K 0.9041 0.8139 0.9092
Sb 0.2756 0.2605 0.5008
Sb 0.7244 0.7395 0.4992
O 0.0614 0.8787 0.4778
O 0.0728 0.5416 0.2859
O 0.4230 0.9534 0.7182
O 0.5770 0.0466 0.2818
O 0.9272 0.4584 0.7141
O 0.9386 0.1213 0.5222

The 10 most intense peaks (2θ from 15° to 90°), low angle first:
Position (°2θ)	I_rel
20.32	63
21.30	100
27.99	47
28.54	40
29.24	40
31.71	28
38.62	37
39.48	40
39.71	37
43.11	34

Diffraction record for Li2Zr6MnCl15. The powder X-ray diffraction pattern is computed, not measured: it uses a DFT-relaxed cell (PBE, the Materials Project) and Cu Kα X-rays.

Crystal structure
a b c (Å): 9.1496 9.1496 9.1496
angles (deg): 108.96 108.96 110.50
Fractional coordinates of all 24 atoms:
Li 0.2500 0.7500 0.5000
Li 0.7500 0.2500 0.5000
Zr 0.0000 0.2272 0.2272
Zr 0.0000 0.7728 0.7728
Zr 0.2272 0.0000 0.2272
Zr 0.2357 0.2357 0.0000
Zr 0.7643 0.7643 0.0000
Zr 0.7728 0.0000 0.7728
Mn 0.0000 0.0000 0.0000
Cl 0.0000 0.5000 0.5000
Cl 0.0012 0.7547 0.2465
Cl 0.2416 0.2416 0.4831
Cl 0.2416 0.7584 0.0000
Cl 0.2453 0.4918 0.2465
Cl 0.2453 0.9988 0.7535
Cl 0.4918 0.2453 0.2465
Cl 0.5000 0.0000 0.5000
Cl 0.5000 0.5000 0.0000
Cl 0.5082 0.7547 0.7535
Cl 0.7547 0.0012 0.2465
Cl 0.7547 0.5082 0.7535
Cl 0.7584 0.2416 0.0000
Cl 0.7584 0.7584 0.5169
Cl 0.9988 0.2453 0.7535

The 10 most intense peaks (2θ from 15° to 90°), low angle first:
Position (°2θ)	I_rel
16.68	23
20.53	19
31.53	15
31.66	15
33.72	100
34.39	49
43.42	23
48.43	31
48.93	62
60.75	29

Diffraction record for Te4Mo3WSe2S2. The powder X-ray diffraction pattern is computed, not measured: it uses a DFT-relaxed cell (PBE, the Materials Project) and Cu Kα X-rays.

Crystal structure
a b c (Å): 3.3981 3.3981 39.2914
angles (deg): 90.00 90.00 120.00
Fractional coordinates of all 12 atoms:
Te 0.0000 0.0000 0.0000
Te 0.0000 0.0000 0.0954
Te 0.3333 0.6667 0.8108
Te 0.3333 0.6667 0.9062
Mo 0.0000 0.0000 0.2349
Mo 0.0000 0.0000 0.8585
Mo 0.3333 0.6667 0.0477
W 0.3333 0.6667 0.4228
Se 0.0000 0.0000 0.3807
Se 0.0000 0.0000 0.4649
S 0.3333 0.6667 0.1967
S 0.3333 0.6667 0.2732

The 10 most intense peaks (2θ from 15° to 90°), low angle first:
Position (°2θ)	I_rel
30.39	52
30.72	17
32.49	15
35.56	100
38.21	20
42.89	61
44.61	16
53.97	35
66.31	16
75.60	17